Record 1
Starting from a cell relaxed with PBE, the powder X-ray diffraction pattern of Pm6Tl3In was calculated for Cu Kα, 1.54184 Å.

Cell and atoms:
```
data_Pm6Tl3In
_chemical_formula_sum 'Pm12 Tl6 In2'
_space_group_name_H-M_alt 'P 1 21/m 1'
_space_group_IT_number 11
_cell_length_a 9.828
_cell_length_b 5.371
_cell_length_c 11.817
_cell_angle_alpha 90.00
_cell_angle_beta 105.54
_cell_angle_gamma 90.00
loop_
_space_group_symop_operation_xyz
'x,y,z'
'-x,-y,-z'
'-x,y+1/2,-z'
'x,-y+1/2,z'
loop_
_atom_site_label
_atom_site_fract_x
_atom_site_fract_y
_atom_site_fract_z
Pm1 0.041 0.250 0.408
Pm2 0.159 0.750 0.180
Pm3 0.259 0.250 0.996
Pm4 0.339 0.750 0.810
Pm5 0.376 0.250 0.339
Pm6 0.399 0.250 0.618
Tl1 0.029 0.750 0.888
Tl2 0.119 0.250 0.711
Tl3 0.275 0.750 0.473
In1 0.452 0.750 0.108
```

Peak list (10 most intense, 2θ = 5–70°, by intensity)
- 32.0°, d 2.795, rel. 100
- 32.3°, d 2.772, rel. 78
- 33.4°, d 2.685, rel. 40
- 46.9°, d 1.935, rel. 21
- 59.0°, d 1.567, rel. 15
- 56.9°, d 1.618, rel. 13
- 45.3°, d 2.004, rel. 13
- 57.4°, d 1.606, rel. 13
- 58.8°, d 1.571, rel. 12
- 67.6°, d 1.386, rel. 10

Record 2
Starting from a cell relaxed with PBE, the powder X-ray diffraction pattern of Dy5Y2Th4 was calculated for Cu Kα, 1.54184 Å.

Cell and atoms:
```
data_Dy5Y2Th4
_chemical_formula_sum 'Dy10 Y4 Th8'
_space_group_name_H-M_alt 'C 1 2/m 1'
_space_group_IT_number 12
_cell_length_a 17.059
_cell_length_b 3.547
_cell_length_c 11.766
_cell_angle_alpha 90.00
_cell_angle_beta 95.80
_cell_angle_gamma 90.00
loop_
_space_group_symop_operation_xyz
'x,y,z'
'-x,-y,-z'
'-x,y,-z'
'x,-y,z'
'x+1/2,y+1/2,z'
'-x+1/2,-y+1/2,-z'
'-x+1/2,y+1/2,-z'
'x+1/2,-y+1/2,z'
loop_
_atom_site_label
_atom_site_fract_x
_atom_site_fract_y
_atom_site_fract_z
Dy1 0.000 0.000 0.000
Dy2 0.054 0.500 0.294
Dy3 0.095 0.000 0.565
Y1 0.134 0.500 0.825
Th1 0.193 0.500 0.103
Th2 0.229 0.000 0.369
```

Peak list (10 most intense, 2θ = 5–70°, by intensity)
- 32.7°, d 2.735, rel. 100
- 31.8°, d 2.815, rel. 55
- 31.3°, d 2.857, rel. 55
- 31.1°, d 2.874, rel. 52
- 30.2°, d 2.959, rel. 50
- 58.3°, d 1.584, rel. 25
- 42.1°, d 2.148, rel. 19
- 47.3°, d 1.923, rel. 18
- 61.8°, d 1.501, rel. 18
- 34.3°, d 2.617, rel. 17